For YTh2Sc2, a crystal structure in Alexandria, relaxed with PBE gives the theoretical powder X-ray diffraction pattern in this record (Cu Kα, 1.54184 Å).
Neutral-atom scattering factors, no anomalous dispersion.

Largest 10 diffraction maxima, most intense first, 2θ from 5° to 70°:
Position (°2θ)	intensity
31.70	100
52.93	23
36.67	17
36.75	17
36.87	17
14.54	16
25.99	15
63.03	14
62.93	14
63.21	14

Structure:
Cell lengths 12.431, 12.431, 9.804 Å; angles 90.00, 90.00, 157.31 degrees
Fractional coordinates of all 20 atoms:
Y1 0.149 0.851 0.883
Y2 0.351 0.649 0.383
Y3 0.649 0.351 0.617
Y4 0.851 0.149 0.117
Th1 0.048 0.952 0.621
Th2 0.249 0.751 0.125
Th3 0.251 0.749 0.625
Th4 0.452 0.548 0.121
Th5 0.548 0.452 0.879
Th6 0.749 0.251 0.375
Th7 0.751 0.249 0.875
Th8 0.952 0.048 0.379
Sc1 0.047 0.953 0.129
Sc2 0.148 0.852 0.366
Sc3 0.352 0.648 0.866
Sc4 0.453 0.547 0.629
Sc5 0.547 0.453 0.371
Sc6 0.648 0.352 0.134
Sc7 0.852 0.148 0.634
Sc8 0.953 0.047 0.871



For YTh7Sc3, a crystal structure in Alexandria, relaxed with PBE gives the theoretical powder X-ray diffraction pattern in this record (Cu Kα, 1.54184 Å).
Neutral-atom scattering factors, no anomalous dispersion.

Largest 10 diffraction maxima, most intense first, 2θ from 5° to 70°:
Position (°2θ)	intensity
32.46	100
33.16	32
18.83	29
30.67	28
27.07	26
34.20	22
58.80	19
48.38	17
43.32	16
52.51	11

Structure:
Cell lengths 6.612, 5.403, 9.955 Å; angles 90.00, 104.37, 90.00 degrees
Fractional coordinates of all 11 atoms:
Y1 0.000 0.000 0.000
Th1 0.000 0.000 0.500
Th2 0.174 0.500 0.779
Th3 0.299 0.500 0.124
Th4 0.452 0.000 0.330
Th5 0.548 0.000 0.670
Th6 0.701 0.500 0.876
Th7 0.826 0.500 0.221
Sc1 0.268 0.500 0.476
Sc2 0.500 0.000 0.000
Sc3 0.732 0.500 0.524



For Th2Sc3Zn4, a crystal structure in Alexandria, relaxed with PBE gives the theoretical powder X-ray diffraction pattern in this record (Cu Kα, 1.54184 Å).
Neutral-atom scattering factors, no anomalous dispersion.

Largest 10 diffraction maxima, most intense first, 2θ from 5° to 70°:
Position (°2θ)	intensity
36.61	100
32.59	96
31.60	73
32.23	56
18.84	54
35.51	27
27.58	27
10.68	26
52.48	25
27.96	24

Structure:
Cell lengths 8.878, 8.878, 7.702 Å; angles 90.00, 90.00, 137.87 degrees
Fractional coordinates of all 18 atoms:
Th1 0.094 0.906 0.906
Th2 0.406 0.594 0.406
Th3 0.594 0.406 0.594
Th4 0.906 0.094 0.094
Sc1 0.000 0.000 0.500
Sc2 0.009 0.491 0.750
Sc3 0.491 0.009 0.250
Sc4 0.500 0.500 0.000
Sc5 0.509 0.991 0.750
Sc6 0.991 0.509 0.250
Zn1 0.167 0.833 0.515
Zn2 0.180 0.320 0.750
Zn3 0.320 0.180 0.250
Zn4 0.333 0.667 0.015
Zn5 0.667 0.333 0.985
Zn6 0.680 0.820 0.750
Zn7 0.820 0.680 0.250
Zn8 0.833 0.167 0.485



For ThSc2Zn3, a crystal structure in Alexandria, relaxed with PBE gives the theoretical powder X-ray diffraction pattern in this record (Cu Kα, 1.54184 Å).
Neutral-atom scattering factors, no anomalous dispersion.

Largest 10 diffraction maxima, most intense first, 2θ from 5° to 70°:
Position (°2θ)	intensity
36.45	100
8.22	58
37.48	52
31.16	34
66.96	32
27.56	32
64.95	18
50.98	18
54.05	18
16.48	14

Structure:
Cell lengths 3.393, 3.393, 10.757 Å; angles 90.00, 90.00, 90.00 degrees
Fractional coordinates of all 6 atoms:
Th1 0.000 0.000 0.000
Sc1 0.000 0.000 0.347
Sc2 0.000 0.000 0.653
Zn1 0.500 0.500 0.199
Zn2 0.500 0.500 0.500
Zn3 0.500 0.500 0.801



For ThScZn4, a crystal structure in Alexandria, relaxed with PBE gives the theoretical powder X-ray diffraction pattern in this record (Cu Kα, 1.54184 Å).
Neutral-atom scattering factors, no anomalous dispersion.

Largest 10 diffraction maxima, most intense first, 2θ from 5° to 70°:
Position (°2θ)	intensity
33.38	100
37.03	65
28.21	47
11.69	43
44.64	39
59.35	32
47.63	32
22.68	24
67.33	22
53.65	16

Structure:
Cell lengths 4.060, 4.060, 15.142 Å; angles 90.00, 90.00, 90.00 degrees
Fractional coordinates of all 12 atoms:
Th1 0.000 0.000 0.000
Th2 0.500 0.500 0.500
Sc1 0.000 0.500 0.250
Sc2 0.500 0.000 0.750
Zn1 0.000 0.000 0.415
Zn2 0.000 0.000 0.585
Zn3 0.000 0.500 0.672
Zn4 0.000 0.500 0.828
Zn5 0.500 0.000 0.172
Zn6 0.500 0.000 0.328
Zn7 0.500 0.500 0.085
Zn8 0.500 0.500 0.915



For ThSc2Zn6, a crystal structure in Alexandria, relaxed with PBE gives the theoretical powder X-ray diffraction pattern in this record (Cu Kα, 1.54184 Å).
Neutral-atom scattering factors, no anomalous dispersion.

Largest 10 diffraction maxima, most intense first, 2θ from 5° to 70°:
Position (°2θ)	intensity
35.74	100
40.33	70
13.20	49
54.97	28
30.17	20
26.57	16
35.40	12
45.08	12
56.79	9
55.69	9

Structure:
Cell lengths 7.745, 7.745, 3.301 Å; angles 90.00, 90.00, 119.95 degrees
Fractional coordinates of all 9 atoms:
Th1 0.000 0.000 0.000
Sc1 0.333 0.667 0.000
Sc2 0.667 0.333 0.000
Zn1 0.000 0.342 0.500
Zn2 0.000 0.658 0.500
Zn3 0.342 0.000 0.500
Zn4 0.342 0.342 0.500
Zn5 0.658 0.000 0.500
Zn6 0.658 0.658 0.500